[1]
# Zn3Au
Computed X-ray powder pattern, a wavelength of 1.5418 Å. Input: a cell relaxed with PBE.

Main lines, by angle (2θ = 10–80°):
Position (°2θ), d (Å), I_rel
23.96, 3.714, 18
25.29, 3.522, 24
27.40, 3.255, 14
35.99, 2.495, 25
40.85, 2.209, 35
41.57, 2.173, 100
42.77, 2.114, 46
66.47, 1.407, 17
74.87, 1.268, 17
79.90, 1.201, 14

Structure:
Unit cell a=4.418 b=5.834 c=4.816 alpha=90.00 beta=90.00 gamma=90.00
Positions (direct):
1 Zn 0.250 0.004 0.167
2 Zn 0.250 0.496 0.167
3 Zn 0.250 0.750 0.668
4 Zn 0.750 0.250 0.332
5 Zn 0.750 0.504 0.833
6 Zn 0.750 0.996 0.833
7 Au 0.250 0.250 0.667
8 Au 0.750 0.750 0.333



[2]
# Zr3Zn3Au2
Computed X-ray powder pattern, a wavelength of 1.5418 Å. Input: a cell relaxed with PBE.

Main lines, by angle (2θ = 10–80°):
Position (°2θ), d (Å), I_rel
15.24, 5.813, 26
26.56, 3.356, 17
34.95, 2.567, 100
38.33, 2.349, 37
41.08, 2.197, 31
45.51, 1.993, 19
46.89, 1.938, 22
47.24, 1.924, 20
62.97, 1.476, 17
79.26, 1.209, 24

Structure:
Unit cell a=6.713 b=6.713 c=3.986 alpha=90.00 beta=90.00 gamma=120.00
Positions (direct):
1 Zr 0.000 0.608 0.000
2 Zr 0.392 0.392 0.000
3 Zr 0.608 0.000 0.000
4 Zn 0.000 0.226 0.500
5 Zn 0.226 0.000 0.500
6 Zn 0.774 0.774 0.500
7 Au 0.333 0.667 0.500
8 Au 0.667 0.333 0.500



[3]
# ZrZn5Au2
Computed X-ray powder pattern, a wavelength of 1.5418 Å. Input: a cell relaxed with PBE.

Main lines, by angle (2θ = 10–80°):
Position (°2θ), d (Å), I_rel
15.66, 5.660, 16
21.33, 4.165, 11
26.57, 3.355, 9
38.41, 2.343, 100
43.45, 2.083, 18
45.24, 2.004, 31
64.53, 1.444, 21
76.38, 1.247, 13
78.86, 1.214, 12
79.03, 1.212, 11

Structure:
Unit cell a=7.027 b=6.332 c=5.041 alpha=75.37 beta=60.67 gamma=43.95
Positions (direct):
1 Zr 0.000 0.000 0.000
2 Zn 0.127 0.127 0.373
3 Zn 0.373 0.373 0.127
4 Zn 0.500 0.500 0.500
5 Zn 0.627 0.627 0.873
6 Zn 0.873 0.873 0.627
7 Au 0.256 0.256 0.744
8 Au 0.744 0.744 0.256



[4]
# Zr3Zn7Au2
Computed X-ray powder pattern, a wavelength of 1.5418 Å. Input: a cell relaxed with PBE.

Main lines, by angle (2θ = 10–80°):
Position (°2θ), d (Å), I_rel
10.24, 8.641, 26
19.86, 4.471, 14
34.22, 2.620, 41
40.25, 2.240, 100
41.82, 2.160, 20
42.19, 2.142, 13
43.53, 2.079, 19
46.91, 1.937, 16
65.35, 1.428, 23
72.09, 1.310, 17

Structure:
Unit cell a=9.155 b=9.155 c=9.155 alpha=33.26 beta=33.26 gamma=33.26
Positions (direct):
1 Zr 0.000 0.000 0.000
2 Zr 0.145 0.145 0.145
3 Zr 0.855 0.855 0.855
4 Zn 0.080 0.591 0.591
5 Zn 0.409 0.409 0.920
6 Zn 0.409 0.920 0.409
7 Zn 0.500 0.500 0.500
8 Zn 0.591 0.080 0.591
9 Zn 0.591 0.591 0.080
10 Zn 0.920 0.409 0.409
11 Au 0.335 0.335 0.335
12 Au 0.665 0.665 0.665